Record 1
Structure and theoretical powder diffraction line list of Er2Zr2O7 (DFT lattice parameters and positions (GGA-PBE); Cu Kα (λ = 1.5418 Å)).

Cell and atoms:
Lattice parameters (Å, degrees): 7.5022 3.5965 10.5680 90.00 90.00 90.00
Positions (direct):
Er 0.0000 0.0000 0.0000
Er 0.2500 0.5000 0.2740
Er 0.5000 0.0000 0.0000
Er 0.7500 0.5000 0.7260
Zr 0.0000 0.0000 0.5000
Zr 0.2500 0.5000 0.7465
Zr 0.5000 0.0000 0.5000
Zr 0.7500 0.5000 0.2535
O 0.0181 0.5000 0.6198
O 0.0434 0.5000 0.1291
O 0.2500 0.0000 0.3871
O 0.2500 0.0000 0.6327
O 0.2500 0.0000 0.8823
O 0.4566 0.5000 0.1291
O 0.4819 0.5000 0.6198
O 0.5181 0.5000 0.3802
O 0.5434 0.5000 0.8709
O 0.7500 0.0000 0.1177
O 0.7500 0.0000 0.3673
O 0.7500 0.0000 0.6129
O 0.9566 0.5000 0.8709
O 0.9819 0.5000 0.3802

Principal peaks in the range 2θ from 15° to 90°, sorted by position:
| 2θ (°) | intensity |
| --- | --- |
| 25.24 | 13 |
| 29.20 | 100 |
| 30.06 | 94 |
| 33.93 | 18 |
| 34.55 | 41 |
| 48.54 | 17 |
| 49.21 | 62 |
| 50.77 | 16 |
| 58.15 | 29 |
| 59.64 | 26 |

Record 2
Structure and theoretical powder diffraction line list of Er4Os (DFT lattice parameters and positions (GGA-PBE); Cu Kα (λ = 1.5418 Å)).

Cell and atoms:
Lattice parameters (Å, degrees): 7.2113 7.2113 7.2113 107.31 107.31 113.90
Positions (direct):
Er 0.0704 0.3839 0.2984
Er 0.0855 0.7720 0.7016
Er 0.1339 0.3204 0.7984
Er 0.2280 0.9296 0.3135
Er 0.5220 0.3355 0.2016
Er 0.6161 0.9145 0.6865
Er 0.6645 0.8661 0.1865
Er 0.6796 0.4780 0.8135
Os 0.0000 0.0000 0.0000
Os 0.7500 0.2500 0.5000

Principal peaks in the range 2θ from 15° to 90°, sorted by position:
| 2θ (°) | intensity |
| --- | --- |
| 15.31 | 32 |
| 20.78 | 39 |
| 30.90 | 100 |
| 33.45 | 88 |
| 35.82 | 61 |
| 39.71 | 49 |
| 40.49 | 34 |
| 42.29 | 29 |
| 50.92 | 27 |
| 54.96 | 31 |